Computed powder X-ray diffraction pattern
Compound: FeF
Radiation: Cu Ka
Structure: the GGA+U geometry in Alexandria
No peak broadening, texture or thermal motion is included.

Top 10 peaks for 2θ from 10° to 90°, low angle first:
two_theta	Rel. int.
12.90	38
25.98	16
29.65	37
35.06	100
43.06	12
43.91	12
44.15	19
58.09	15
58.78	15
59.90	14

Structural model:
```
FeF
1.0
4.324 0.000 0.000
0.000 4.413 0.000
0.000 0.000 13.720
Fe F
8 8
Direct
0.000 0.000 0.171
0.000 0.000 0.829
0.000 0.500 0.329
0.000 0.500 0.671
0.500 0.000 0.329
0.500 0.000 0.671
0.500 0.500 0.171
0.500 0.500 0.829
0.250 0.250 0.584
0.250 0.250 0.916
0.250 0.750 0.084
0.250 0.750 0.416
0.750 0.250 0.084
0.750 0.250 0.416
0.750 0.750 0.584
0.750 0.750 0.916
```